# Ac8RuPb3
Theoretical XRD peak list, Cu Kα (λ = 1.5418 Å). Input: a structure optimized by DFT (GGA-PBE).
Neutral-atom scattering factors, no anomalous dispersion.

Structure:
a b c (Å): 9.663 9.663 9.663
angles (deg): 131.76 131.76 70.60
Element x y z (fractional)
Ac (0.117, 0.117, 0.469)
Ac (0.117, 0.648, 0.000)
Ac (0.352, 0.352, 0.469)
Ac (0.352, 0.883, 0.000)
Ac (0.648, 0.117, 0.000)
Ac (0.648, 0.648, 0.531)
Ac (0.883, 0.352, 0.000)
Ac (0.883, 0.883, 0.531)
Ru (0.000, 0.000, 0.000)
Pb (0.250, 0.750, 0.500)
Pb (0.500, 0.500, 0.000)
Pb (0.750, 0.250, 0.500)

The 12 most intense peaks (10° ≤ 2θ ≤ 90°), by angle:
19.48 deg, I = 20
22.53 deg, I = 21
32.07 deg, I = 100
37.80 deg, I = 11
39.55 deg, I = 6
45.99 deg, I = 18
50.39 deg, I = 5
51.79 deg, I = 7
57.17 deg, I = 36
67.07 deg, I = 11
76.26 deg, I = 9
76.36 deg, I = 5

# Ce6HoSn10
Theoretical XRD peak list, Cu Kα (λ = 1.5418 Å). Input: a structure optimized by DFT (GGA-PBE).
Neutral-atom scattering factors, no anomalous dispersion.

Structure:
a b c (Å): 9.335 9.335 6.325
angles (deg): 90.00 90.00 120.00
Element x y z (fractional)
Ce (0.000, 0.388, 0.267)
Ce (0.000, 0.612, 0.733)
Ce (0.388, 0.000, 0.267)
Ce (0.388, 0.388, 0.733)
Ce (0.612, 0.000, 0.733)
Ce (0.612, 0.612, 0.267)
Ho (0.000, 0.000, 0.500)
Sn (0.000, 0.261, 0.799)
Sn (0.000, 0.739, 0.201)
Sn (0.261, 0.000, 0.799)
Sn (0.261, 0.261, 0.201)
Sn (0.333, 0.667, 0.000)
Sn (0.333, 0.667, 0.500)
Sn (0.667, 0.333, 0.000)
Sn (0.667, 0.333, 0.500)
Sn (0.739, 0.000, 0.201)
Sn (0.739, 0.739, 0.799)

The 12 most intense peaks (10° ≤ 2θ ≤ 90°), by angle:
32.54 deg, I = 82
33.24 deg, I = 76
34.25 deg, I = 100
42.79 deg, I = 20
48.48 deg, I = 24
51.33 deg, I = 14
52.75 deg, I = 12
60.05 deg, I = 13
60.25 deg, I = 11
62.54 deg, I = 12
66.01 deg, I = 10
68.85 deg, I = 13

# Rb3GePb
Theoretical XRD peak list, Cu Kα (λ = 1.5418 Å). Input: a structure optimized by DFT (GGA-PBE).
Neutral-atom scattering factors, no anomalous dispersion.

Structure:
a b c (Å): 9.068 7.759 14.493
angles (deg): 90.00 91.35 90.00
Element x y z (fractional)
Rb (0.010, 0.188, 0.381)
Rb (0.010, 0.812, 0.881)
Rb (0.244, 0.359, 0.658)
Rb (0.244, 0.641, 0.158)
Rb (0.366, 0.180, 0.931)
Rb (0.366, 0.820, 0.431)
Rb (0.634, 0.180, 0.569)
Rb (0.634, 0.820, 0.069)
Rb (0.756, 0.359, 0.842)
Rb (0.756, 0.641, 0.342)
Rb (0.990, 0.188, 0.119)
Rb (0.990, 0.812, 0.619)
Ge (0.372, 0.075, 0.205)
Ge (0.372, 0.925, 0.705)
Ge (0.628, 0.075, 0.295)
Ge (0.628, 0.925, 0.795)
Pb (0.413, 0.335, 0.345)
Pb (0.413, 0.665, 0.845)
Pb (0.587, 0.335, 0.155)
Pb (0.587, 0.665, 0.655)

The 12 most intense peaks (10° ≤ 2θ ≤ 90°), by angle:
12.22 deg, I = 29
12.94 deg, I = 82
22.91 deg, I = 41
23.41 deg, I = 55
23.67 deg, I = 35
24.00 deg, I = 65
24.58 deg, I = 36
25.78 deg, I = 77
29.08 deg, I = 36
31.04 deg, I = 100
32.99 deg, I = 31
46.73 deg, I = 38